For TbPrTe, a crystal structure in Alexandria, relaxed with GGA-PBE gives the theoretical X-ray diffraction stick pattern in this record (CuKα).

Crystal structure
```
data_TbPrTe
_space_group_name_H-M_alt 'C 1 2/m 1'
_space_group_IT_number 12
_cell_length_a 16.9322
_cell_length_b 4.0771
_cell_length_c 11.3196
_cell_angle_alpha 90.00
_cell_angle_beta 93.33
_cell_angle_gamma 90.00
loop_
_space_group_symop_operation_xyz
'x,y,z'
'-x,-y,-z'
'-x,y,-z'
'x,-y,z'
'x+1/2,y+1/2,z'
'-x+1/2,-y+1/2,-z'
'-x+1/2,y+1/2,-z'
'x+1/2,-y+1/2,z'
loop_
_atom_site_label
_atom_site_type_symbol
_atom_site_fract_x
_atom_site_fract_y
_atom_site_fract_z
Tb1 Tb 0.1920 0.0000 0.0808
Tb2 Tb 0.2493 0.5000 0.3387
Pr1 Pr 0.0258 0.0000 0.3527
Pr2 Pr 0.1139 0.5000 0.8416
Te1 Te 0.0756 0.5000 0.1583
Te2 Te 0.1201 0.5000 0.5440
```

Top 10 peaks for 2θ from 5° to 70°, by angle:
2θ = 27.31°, I = 23.0; 2θ = 27.67°, I = 21.3; 2θ = 28.41°, I = 65.5; 2θ = 30.88°, I = 69.2; 2θ = 31.69°, I = 28.6; 2θ = 32.57°, I = 100.0; 2θ = 32.76°, I = 61.3; 2θ = 34.46°, I = 72.3; 2θ = 44.43°, I = 46.7; 2θ = 56.28°, I = 45.2